(1)
# Ba6Li15Au8
Computed powder XRD pattern, Cu Kα X-rays. Input: a structure optimized by DFT (PBE).
Peak positions follow from Bragg's law for the DFT cell and can differ from measured ones.

Peak list (10 most intense, 10 to 90 degrees two-theta, sorted by position)
2θ (°), I/Imax
10.46, 338
20.11, 518
21.01, 356
26.53, 621
27.23, 339
31.74, 295
34.64, 1000
36.82, 201
47.69, 314
51.04, 294

Structure:
```
Ba6Li15Au8
1.0
0.000 7.324 7.324
7.324 0.000 7.324
7.324 7.324 0.000
Ba Li Au
6 15 8
direct
0.250 0.250 0.750 Ba
0.250 0.750 0.250 Ba
0.250 0.750 0.750 Ba
0.750 0.250 0.250 Ba
0.750 0.250 0.750 Ba
0.750 0.750 0.250 Ba
0.000 0.000 0.000 Li
0.000 0.000 0.500 Li
0.000 0.500 0.000 Li
0.000 0.500 0.500 Li
0.039 0.320 0.320 Li
0.320 0.039 0.320 Li
0.320 0.320 0.039 Li
0.320 0.320 0.320 Li
0.500 0.000 0.000 Li
0.500 0.000 0.500 Li
0.500 0.500 0.000 Li
0.680 0.680 0.680 Li
0.680 0.680 0.961 Li
0.680 0.961 0.680 Li
0.961 0.680 0.680 Li
0.145 0.145 0.145 Au
0.145 0.145 0.564 Au
0.145 0.564 0.145 Au
0.436 0.855 0.855 Au
0.564 0.145 0.145 Au
0.855 0.436 0.855 Au
0.855 0.855 0.436 Au
0.855 0.855 0.855 Au
```


(2)
# BaPrI5
Computed powder XRD pattern, Cu Kα X-rays. Input: a structure optimized by DFT (PBE).
Peak positions follow from Bragg's law for the DFT cell and can differ from measured ones.

Peak list (10 most intense, 10 to 90 degrees two-theta, sorted by position)
2θ (°), I/Imax
10.87, 1000
21.84, 244
24.03, 824
26.38, 275
26.55, 439
27.00, 650
28.73, 427
29.40, 272
31.13, 432
37.40, 469

Structure:
```
BaPrI5
1.0
9.386 0.000 0.000
0.000 4.809 0.000
-0.630 0.000 15.261
Ba Pr I
2 2 10
direct
0.083 0.250 0.148 Ba
0.917 0.750 0.852 Ba
0.421 0.750 0.352 Pr
0.579 0.250 0.648 Pr
0.082 0.750 0.328 I
0.158 0.250 0.926 I
0.324 0.250 0.485 I
0.367 0.750 0.145 I
0.377 0.750 0.701 I
0.623 0.250 0.299 I
0.633 0.250 0.855 I
0.676 0.750 0.515 I
0.842 0.750 0.074 I
0.918 0.250 0.672 I
```